This entry pairs a crystal structure of NaSrCdBi with its computed powder diffractogram. Radiation: Cu Kα X-rays. Structure: the GGA-PBE geometry in Alexandria.
Lines closer than 0.1° are merged.

Top 6 peaks for 15 to 90 degrees two-theta, by angle:
Position (°2θ)  intensity
19.28  14
22.30  27
31.74  100
45.50  18
56.54  38
75.39  17

Crystal structure
abc: 5.638 5.638 5.638
angles: 60.00 60.00 60.00
Sites, in units of the cell vectors:
Na: 0.000 0.000 0.000
Sr: 0.500 0.500 0.500
Cd: 0.250 0.250 0.250
Bi: 0.750 0.750 0.750

This entry pairs a crystal structure of Na4ZnBi3S8 with its computed powder diffractogram. Radiation: Cu Kα X-rays. Structure: the GGA-PBE geometry in Alexandria.
Lines closer than 0.1° are merged.

Top 6 peaks for 15 to 90 degrees two-theta, by angle:
Position (°2θ)  intensity
26.37  47
27.45  34
31.44  100
44.25  37
45.86  34
47.87  23

Crystal structure
abc: 7.917 7.917 8.197
angles: 118.89 118.89 59.96
Sites, in units of the cell vectors:
Na: 0.000 0.000 0.000
Na: 0.000 0.500 0.000
Na: 0.500 0.000 0.000
Na: 0.500 0.500 0.000
Zn: 0.000 0.000 0.500
Bi: 0.000 0.500 0.500
Bi: 0.500 0.000 0.500
Bi: 0.500 0.500 0.500
S: 0.232 0.760 0.724
S: 0.233 0.233 0.726
S: 0.240 0.768 0.276
S: 0.253 0.253 0.258
S: 0.747 0.747 0.742
S: 0.760 0.232 0.724
S: 0.767 0.767 0.274
S: 0.768 0.240 0.276